For CdH12C4S4N6O2, a GGA-PBE-relaxed structure gives the theoretical powder X-ray diffraction pattern in this record (Cu Kα (λ = 1.5418 Å)).

Principal peaks in the range 10° ≤ 2θ ≤ 90°, in order of falling intensity:
| (hkl) | d [Å] | intensity |
| --- | --- | --- |
| 1 1 1 | 4.420 | 100 |
| 0 0 1 | 8.138 | 94 |
| 0 1 0 | 6.817 | 71 |
| 0 1 1 | 6.084 | 63 |
| 0 0 2 | 4.069 | 45 |
| 1 0 0 | 5.600 | 44 |
| 0 2 1 | 3.493 | 43 |
| 1 -2 1 | 2.693 | 43 |

Crystal structure
```
data_CdH12C4S4N6O2
_chemical_formula_sum 'Cd1 H12 C4 S4 N6 O2'
_cell_length_a 5.750
_cell_length_b 7.074
_cell_length_c 8.663
_cell_angle_alpha 74.70
_cell_angle_beta 77.08
_cell_angle_gamma 88.91
_symmetry_space_group_name_H-M 'P -1'
_symmetry_Int_Tables_number 2
_symmetry_space_group_name_Hall '-P 1'
loop_
_atom_site_label
_atom_site_type_symbol
_atom_site_fract_x
_atom_site_fract_y
_atom_site_fract_z
_atom_site_occupancy
Cd1 Cd 0.000 0.000 0.000 1
H1 H 0.073 0.375 0.336 1
H2 H 0.223 0.945 0.288 1
H3 H 0.255 0.785 0.477 1
H4 H 0.283 0.603 0.792 1
H5 H 0.303 0.437 0.698 1
H6 H 0.357 0.363 0.386 1
C1 C 0.081 0.207 0.566 1
C2 C 0.494 0.229 0.030 1
S1 S 0.244 0.658 0.036 1
S2 S 0.264 0.124 0.701 1
N1 N 0.150 0.844 0.396 1
N2 N 0.177 0.327 0.419 1
N3 N 0.304 0.147 0.080 1
O1 O 0.310 0.582 0.681 1
```